Starting from a structure optimized by DFT (PBE), the X-ray powder pattern of NaMg8Ag4 was computed for λ = 1.5418 Å (Cu Kα).
Neutral-atom scattering factors, no anomalous dispersion.

Structural model:
Cell: 7.537 7.537 7.537 Å, 98.24 98.24 135.50°
Fractional positions:
Na  0.000  0.000  0.000
Mg  0.000  0.341  0.341
Mg  0.000  0.659  0.659
Mg  0.282  0.500  0.782
Mg  0.341  0.000  0.341
Mg  0.500  0.282  0.782
Mg  0.500  0.718  0.218
Mg  0.659  0.000  0.659
Mg  0.718  0.500  0.218
Ag  0.000  0.000  0.500
Ag  0.000  0.500  0.000
Ag  0.500  0.000  0.000
Ag  0.500  0.500  0.500

Most intense lines, 15 to 90 degrees two-theta, sorted by position:
18.0°, d 4.932, rel. 98
25.5°, d 3.488, rel. 31
36.4°, d 2.469, rel. 100
40.9°, d 2.207, rel. 89
52.4°, d 1.745, rel. 24
65.5°, d 1.425, rel. 15
68.6°, d 1.369, rel. 18
77.4°, d 1.233, rel. 15

=====

Starting from a structure optimized by DFT (PBE), the X-ray powder pattern of NaMgAg4 was computed for λ = 1.5418 Å (Cu Kα).
Neutral-atom scattering factors, no anomalous dispersion.

Structural model:
Cell: 5.519 5.519 7.772 Å, 96.51 96.51 96.76°
Fractional positions:
Na  0.084  0.916  0.750
Na  0.916  0.084  0.250
Mg  0.441  0.559  0.750
Mg  0.559  0.441  0.250
Ag  0.114  0.626  0.373
Ag  0.178  0.349  0.991
Ag  0.349  0.178  0.491
Ag  0.374  0.886  0.127
Ag  0.626  0.114  0.873
Ag  0.651  0.822  0.509
Ag  0.822  0.651  0.009
Ag  0.886  0.374  0.627

Most intense lines, 15 to 90 degrees two-theta, sorted by position:
18.8°, d 4.728, rel. 17
23.2°, d 3.829, rel. 18
24.7°, d 3.611, rel. 20
37.0°, d 2.431, rel. 100
37.6°, d 2.393, rel. 93
38.1°, d 2.364, rel. 47
38.8°, d 2.320, rel. 44
52.7°, d 1.737, rel. 18

=====

Starting from a structure optimized by DFT (PBE), the X-ray powder pattern of NaMg3Ag4 was computed for λ = 1.5418 Å (Cu Kα).
Neutral-atom scattering factors, no anomalous dispersion.

Structural model:
Cell: 8.194 8.194 8.194 Å, 34.08 34.08 34.08°
Fractional positions:
Na  0.000  0.000  0.000
Mg  0.251  0.251  0.251
Mg  0.500  0.500  0.500
Mg  0.749  0.749  0.749
Ag  0.129  0.129  0.129
Ag  0.378  0.378  0.378
Ag  0.622  0.622  0.622
Ag  0.871  0.871  0.871

Most intense lines, 15 to 90 degrees two-theta, sorted by position:
26.4°, d 3.377, rel. 100
37.5°, d 2.401, rel. 100
37.9°, d 2.374, rel. 94
46.4°, d 1.957, rel. 21
54.3°, d 1.688, rel. 31
61.1°, d 1.517, rel. 18
67.6°, d 1.386, rel. 16
67.9°, d 1.381, rel. 31

=====

Starting from a structure optimized by DFT (PBE), the X-ray powder pattern of Na2MgAgO4 was computed for λ = 1.5418 Å (Cu Kα).
Neutral-atom scattering factors, no anomalous dispersion.

Structural model:
Cell: 6.328 6.328 6.373 Å, 119.11 119.11 89.35°
Fractional positions:
Na  0.000  0.000  0.000
Na  0.000  0.000  0.500
Na  0.000  0.500  0.000
Na  0.500  0.000  0.500
Mg  0.500  0.500  0.000
Mg  0.500  0.500  0.500
Ag  0.000  0.500  0.500
Ag  0.500  0.000  0.000
O  0.249  0.724  0.505
O  0.262  0.295  0.533
O  0.276  0.751  0.995
O  0.295  0.262  0.033
O  0.705  0.738  0.967
O  0.724  0.249  0.005
O  0.738  0.705  0.467
O  0.751  0.276  0.495

Most intense lines, 15 to 90 degrees two-theta, sorted by position:
17.1°, d 5.179, rel. 100
20.0°, d 4.449, rel. 28
33.9°, d 2.641, rel. 31
34.6°, d 2.590, rel. 28
38.7°, d 2.324, rel. 43
40.1°, d 2.249, rel. 38
40.6°, d 2.224, rel. 37
57.3°, d 1.607, rel. 23

=====

Starting from a structure optimized by DFT (PBE), the X-ray powder pattern of Mg2Nb2AgO8 was computed for λ = 1.5418 Å (Cu Kα).
Neutral-atom scattering factors, no anomalous dispersion.

Structural model:
Cell: 5.231 6.179 10.342 Å, 103.48 91.20 90.85°
Fractional positions:
Mg  0.246  0.371  0.460
Mg  0.252  0.912  0.544
Mg  0.748  0.088  0.456
Mg  0.754  0.629  0.540
Nb  0.235  0.807  0.247
Nb  0.266  0.526  0.756
Nb  0.734  0.474  0.244
Nb  0.765  0.193  0.753
Ag  0.253  0.161  0.998
Ag  0.747  0.839  0.002
O  0.045  0.193  0.615
O  0.056  0.514  0.162
O  0.084  0.959  0.129
O  0.122  0.651  0.612
O  0.379  0.058  0.388
O  0.422  0.764  0.871
O  0.436  0.283  0.838
O  0.451  0.594  0.380
O  0.549  0.406  0.620
O  0.564  0.717  0.162
O  0.578  0.236  0.129
O  0.621  0.942  0.612
O  0.878  0.349  0.388
O  0.916  0.041  0.871
O  0.944  0.486  0.838
O  0.955  0.807  0.385

Most intense lines, 15 to 90 degrees two-theta, sorted by position:
18.9°, d 4.697, rel. 70
25.1°, d 3.543, rel. 100
25.8°, d 3.447, rel. 71
26.4°, d 3.375, rel. 69
32.1°, d 2.789, rel. 58
33.6°, d 2.671, rel. 68
34.3°, d 2.614, rel. 68
51.3°, d 1.782, rel. 61

=====

Starting from a structure optimized by DFT (PBE), the X-ray powder pattern of NdMgAg4 was computed for λ = 1.5418 Å (Cu Kα).
Neutral-atom scattering factors, no anomalous dispersion.

Structural model:
Cell: 4.745 4.745 6.729 Å, 90.00 90.00 120.00°
Fractional positions:
Nd  0.000  0.000  0.000
Mg  0.000  0.000  0.500
Ag  0.333  0.667  0.281
Ag  0.333  0.667  0.719
Ag  0.667  0.333  0.281
Ag  0.667  0.333  0.719

Most intense lines, 15 to 90 degrees two-theta, sorted by position:
25.4°, d 3.507, rel. 39
34.5°, d 2.603, rel. 97
37.9°, d 2.373, rel. 100
46.9°, d 1.939, rel. 17
52.2°, d 1.754, rel. 29
56.5°, d 1.630, rel. 21
66.3°, d 1.410, rel. 27
68.4°, d 1.372, rel. 21

=====

Starting from a structure optimized by DFT (PBE), the X-ray powder pattern of NdMg10Ag2 was computed for λ = 1.5418 Å (Cu Kα).
Neutral-atom scattering factors, no anomalous dispersion.

Structural model:
Cell: 5.700 7.711 7.730 Å, 82.37 68.41 68.78°
Fractional positions:
Nd  0.000  0.000  0.000
Mg  0.000  0.500  0.000
Mg  0.014  0.335  0.640
Mg  0.286  0.205  0.221
Mg  0.347  0.664  0.640
Mg  0.492  0.794  0.221
Mg  0.500  0.500  0.000
Mg  0.508  0.206  0.779
Mg  0.653  0.336  0.360
Mg  0.714  0.795  0.779
Mg  0.986  0.665  0.360
Ag  0.000  0.000  0.500
Ag  0.500  0.000  0.500

Most intense lines, 15 to 90 degrees two-theta, sorted by position:
17.8°, d 4.972, rel. 35
24.8°, d 3.594, rel. 68
27.8°, d 3.214, rel. 53
35.3°, d 2.540, rel. 100
35.5°, d 2.527, rel. 42
36.0°, d 2.492, rel. 62
36.2°, d 2.480, rel. 61
57.3°, d 1.607, rel. 27

=====

Starting from a structure optimized by DFT (PBE), the X-ray powder pattern of Nd2Mg3Ag was computed for λ = 1.5418 Å (Cu Kα).
Neutral-atom scattering factors, no anomalous dispersion.

Structural model:
Cell: 6.101 6.101 9.522 Å, 90.00 90.00 120.00°
Fractional positions:
Nd  0.333  0.667  0.065
Nd  0.333  0.667  0.435
Nd  0.667  0.333  0.565
Nd  0.667  0.333  0.935
Mg  0.165  0.330  0.750
Mg  0.165  0.835  0.750
Mg  0.330  0.165  0.250
Mg  0.670  0.835  0.750
Mg  0.835  0.165  0.250
Mg  0.835  0.670  0.250
Ag  0.000  0.000  0.000
Ag  0.000  0.000  0.500

Most intense lines, 15 to 90 degrees two-theta, sorted by position:
18.6°, d 4.761, rel. 38
19.2°, d 4.620, rel. 23
29.3°, d 3.050, rel. 99
32.9°, d 2.721, rel. 68
34.9°, d 2.568, rel. 100
35.3°, d 2.546, rel. 24
54.3°, d 1.690, rel. 33
55.6°, d 1.652, rel. 26

=====

Starting from a structure optimized by DFT (PBE), the X-ray powder pattern of NdMg8Ag4 was computed for λ = 1.5418 Å (Cu Kα).
Neutral-atom scattering factors, no anomalous dispersion.

Structural model:
Cell: 7.543 7.543 7.543 Å, 98.11 98.11 135.87°
Fractional positions:
Nd  0.000  0.000  0.000
Mg  0.000  0.344  0.344
Mg  0.000  0.656  0.656
Mg  0.285  0.500  0.785
Mg  0.344  0.000  0.344
Mg  0.500  0.285  0.785
Mg  0.500  0.715  0.215
Mg  0.656  0.000  0.656
Mg  0.715  0.500  0.215
Ag  0.000  0.000  0.500
Ag  0.000  0.500  0.000
Ag  0.500  0.000  0.000
Ag  0.500  0.500  0.500

Most intense lines, 15 to 90 degrees two-theta, sorted by position:
18.0°, d 4.937, rel. 70
25.5°, d 3.493, rel. 91
36.4°, d 2.470, rel. 94
36.6°, d 2.458, rel. 100
40.8°, d 2.211, rel. 26
41.0°, d 2.201, rel. 35
52.5°, d 1.743, rel. 47
65.5°, d 1.424, rel. 23

=====

Starting from a structure optimized by DFT (PBE), the X-ray powder pattern of NdMg4Ag2 was computed for λ = 1.5418 Å (Cu Kα).
Neutral-atom scattering factors, no anomalous dispersion.

Structural model:
Cell: 8.474 8.474 4.466 Å, 90.00 90.00 90.00°
Fractional positions:
Nd  0.000  0.000  0.000
Nd  0.500  0.500  0.500
Mg  0.088  0.338  0.500
Mg  0.162  0.588  0.000
Mg  0.338  0.088  0.500
Mg  0.412  0.838  0.000
Mg  0.588  0.162  0.000
Mg  0.662  0.912  0.500
Mg  0.838  0.412  0.000
Mg  0.912  0.662  0.500
Ag  0.216  0.784  0.500
Ag  0.284  0.284  0.000
Ag  0.716  0.716  0.000
Ag  0.784  0.216  0.500

Most intense lines, 15 to 90 degrees two-theta, sorted by position:
24.9°, d 3.581, rel. 52
29.8°, d 2.996, rel. 55
30.9°, d 2.889, rel. 100
37.7°, d 2.387, rel. 33
39.2°, d 2.298, rel. 53
40.4°, d 2.233, rel. 28
51.0°, d 1.790, rel. 24
62.6°, d 1.484, rel. 25

=====

Starting from a structure optimized by DFT (PBE), the X-ray powder pattern of NdMgAgPd was computed for λ = 1.5418 Å (Cu Kα).
Neutral-atom scattering factors, no anomalous dispersion.

Structural model:
Cell: 4.707 4.707 5.373 Å, 115.86 115.86 59.92°
Fractional positions:
Nd  0.000  0.000  0.000
Mg  0.490  0.490  0.471
Ag  0.219  0.219  0.658
Pd  0.783  0.783  0.349

Most intense lines, 15 to 90 degrees two-theta, sorted by position:
22.7°, d 3.911, rel. 67
33.9°, d 2.647, rel. 96
38.3°, d 2.353, rel. 100
39.1°, d 2.303, rel. 19
39.2°, d 2.298, rel. 38
52.1°, d 1.757, rel. 18
55.9°, d 1.644, rel. 20
66.4°, d 1.408, rel. 17

=====

Starting from a structure optimized by DFT (PBE), the X-ray powder pattern of NdMgAgSn2 was computed for λ = 1.5418 Å (Cu Kα).
Neutral-atom scattering factors, no anomalous dispersion.

Structural model:
Cell: 7.123 7.123 7.123 Å, 143.70 143.70 52.28°
Fractional positions:
Nd  0.000  0.000  0.000
Mg  0.250  0.750  0.500
Ag  0.750  0.250  0.500
Sn  0.390  0.390  0.000
Sn  0.610  0.610  0.000

Most intense lines, 15 to 90 degrees two-theta, sorted by position:
28.4°, d 3.138, rel. 28
29.0°, d 3.074, rel. 66
31.8°, d 2.817, rel. 73
40.3°, d 2.240, rel. 18
40.7°, d 2.218, rel. 100
50.7°, d 1.799, rel. 28
58.9°, d 1.568, rel. 52
88.1°, d 1.109, rel. 18

=====

Starting from a structure optimized by DFT (PBE), the X-ray powder pattern of NdMg2ZnAg4 was computed for λ = 1.5418 Å (Cu Kα).
Neutral-atom scattering factors, no anomalous dispersion.

Structural model:
Cell: 9.127 9.127 9.127 Å, 29.64 29.64 29.64°
Fractional positions:
Nd  0.000  0.000  0.000
Mg  0.241  0.241  0.241
Mg  0.759  0.759  0.759
Zn  0.500  0.500  0.500
Ag  0.130  0.130  0.130
Ag  0.398  0.398  0.398
Ag  0.602  0.602  0.602
Ag  0.870  0.870  0.870

Most intense lines, 15 to 90 degrees two-theta, sorted by position:
23.0°, d 3.864, rel. 34
32.6°, d 2.745, rel. 27
35.3°, d 2.543, rel. 81
38.6°, d 2.335, rel. 100
41.1°, d 2.196, rel. 17
53.3°, d 1.720, rel. 24
67.7°, d 1.385, rel. 23
69.8°, d 1.348, rel. 16